Entry 1:
Starting from a structure optimized by DFT (PBE), the powder diffraction line list of La4Cu4SeS3O4 was simulated for Cu Kα (λ = 1.5418 Å).
Intensities are scaled so that the largest is 100.

Principal peaks in the range 2θ from 10° to 90°, in order of rising 2θ:
- 2θ 24.48, d = 3.637 Å, I = 28
- 2θ 30.48, d = 2.933 Å, I = 100
- 2θ 31.24, d = 2.863 Å, I = 14
- 2θ 31.52, d = 2.839 Å, I = 14
- 2θ 33.24, d = 2.695 Å, I = 34
- 2θ 38.00, d = 2.368 Å, I = 38
- 2θ 45.17, d = 2.007 Å, I = 40
- 2θ 53.51, d = 1.713 Å, I = 34
- 2θ 55.47, d = 1.656 Å, I = 36
- 2θ 89.73, d = 1.093 Å, I = 15

Crystal structure
```
La4Cu4SeS3O4
1.0
5.6773 0.0000 0.0000
0.0000 5.6773 0.0000
0.0000 0.0000 8.5897
La Cu Se S O
4 4 1 3 4
direct
0.0000 0.0000 0.0000
0.0000 0.5000 0.2920
0.5000 0.0000 0.2920
0.5000 0.5000 0.0000
0.2485 0.2485 0.6475
0.2485 0.7515 0.6475
0.7515 0.2485 0.6475
0.7515 0.7515 0.6475
0.5000 0.5000 0.4757
0.0000 0.0000 0.4882
0.0000 0.5000 0.8046
0.5000 0.0000 0.8046
0.2498 0.2498 0.1458
0.2498 0.7502 0.1458
0.7502 0.2498 0.1458
0.7502 0.7502 0.1458
```

Entry 2:
Starting from a structure optimized by DFT (PBE), the powder diffraction line list of SrLaCuSbO6 was simulated for Cu Kα (λ = 1.5418 Å).
Intensities are scaled so that the largest is 100.

Principal peaks in the range 2θ from 10° to 90°, in order of rising 2θ:
- 2θ 18.96, d = 4.682 Å, I = 17
- 2θ 30.60, d = 2.921 Å, I = 100
- 2θ 30.97, d = 2.887 Å, I = 92
- 2θ 32.18, d = 2.782 Å, I = 40
- 2θ 32.46, d = 2.758 Å, I = 39
- 2θ 41.75, d = 2.163 Å, I = 32
- 2θ 46.36, d = 1.959 Å, I = 43
- 2θ 53.67, d = 1.708 Å, I = 22
- 2θ 56.57, d = 1.627 Å, I = 34
- 2θ 57.21, d = 1.610 Å, I = 19

Crystal structure
```
SrLaCuSbO6
1.0
5.5169 0.0000 0.0000
0.0000 5.5639 0.0000
-5.3731 0.0000 8.6538
Sr La Cu Sb O
2 2 2 2 12
direct
0.0000 0.2184 0.0000
0.0000 0.7816 0.5000
0.4595 0.2899 0.4942
0.4595 0.7101 0.9942
0.2392 0.2474 0.7503
0.2392 0.7526 0.2503
0.7334 0.2493 0.2477
0.7334 0.7507 0.7477
0.0066 0.4709 0.7983
0.0066 0.5291 0.2983
0.0734 0.0405 0.2956
0.0734 0.9595 0.7956
0.4082 0.4722 0.2036
0.4082 0.5278 0.7036
0.4778 0.0422 0.6975
0.4778 0.9578 0.1975
0.5808 0.2720 0.0233
0.5808 0.7280 0.5233
0.8638 0.2368 0.4706
0.8638 0.7632 0.9706
```

Repeat the first record exactly.
Starting from a structure optimized by DFT (PBE), the powder diffraction line list of La4Cu4SeS3O4 was simulated for Cu Kα (λ = 1.5418 Å).
Intensities are scaled so that the largest is 100.

Principal peaks in the range 2θ from 10° to 90°, in order of rising 2θ:
- 2θ 24.48, d = 3.637 Å, I = 28
- 2θ 30.48, d = 2.933 Å, I = 100
- 2θ 31.24, d = 2.863 Å, I = 14
- 2θ 31.52, d = 2.839 Å, I = 14
- 2θ 33.24, d = 2.695 Å, I = 34
- 2θ 38.00, d = 2.368 Å, I = 38
- 2θ 45.17, d = 2.007 Å, I = 40
- 2θ 53.51, d = 1.713 Å, I = 34
- 2θ 55.47, d = 1.656 Å, I = 36
- 2θ 89.73, d = 1.093 Å, I = 15

Crystal structure
```
La4Cu4SeS3O4
1.0
5.6773 0.0000 0.0000
0.0000 5.6773 0.0000
0.0000 0.0000 8.5897
La Cu Se S O
4 4 1 3 4
direct
0.0000 0.0000 0.0000
0.0000 0.5000 0.2920
0.5000 0.0000 0.2920
0.5000 0.5000 0.0000
0.2485 0.2485 0.6475
0.2485 0.7515 0.6475
0.7515 0.2485 0.6475
0.7515 0.7515 0.6475
0.5000 0.5000 0.4757
0.0000 0.0000 0.4882
0.0000 0.5000 0.8046
0.5000 0.0000 0.8046
0.2498 0.2498 0.1458
0.2498 0.7502 0.1458
0.7502 0.2498 0.1458
0.7502 0.7502 0.1458
```